(1)
This entry pairs a crystal structure of Li2V3CoO8 with its theoretical powder XRD pattern. Radiation: copper Kα. Structure: DFT lattice parameters and positions (PBE+U).
Lines closer than 0.1° are merged.

Crystal structure
Unit cell a=5.9426 b=5.9586 c=10.0444 alpha=73.43 beta=73.85 gamma=60.14
Space group P-1 (No. 2)
Inequivalent atoms, fractional coordinates:
Li (0.0586, 0.0697, 0.3137)
Li (0.4310, 0.4460, 0.1867)
V (0.0000, 0.0000, 0.0000)
V (0.0000, 0.5000, 0.0000)
V (0.0000, 0.5000, 0.5000)
V (0.5000, 0.0000, 0.0000)
V (0.5000, 0.0000, 0.5000)
V (0.5000, 0.5000, 0.5000)
Co (0.2543, 0.2363, 0.7501)
O (0.0810, 0.6536, 0.1242)
O (0.1283, 0.1239, 0.1073)
O (0.1416, 0.1432, 0.6177)
O (0.1491, 0.5774, 0.6248)
O (0.3529, 0.3743, 0.3930)
O (0.3537, 0.8996, 0.8817)
O (0.3733, 0.3333, 0.8804)
O (0.4070, 0.8760, 0.3804)

The 12 most intense peaks (15° ≤ 2θ ≤ 90°), sorted by position:
- 2θ = 18.25°, I 100, (0 1 1)
- 2θ = 18.40°, I 45, (1 0 1)
- 2θ = 18.69°, I 29, (0 0 2)
- 2θ = 35.34°, I 25, (1 2 -1)
- 2θ = 35.72°, I 13, (1 -1 2)
- 2θ = 35.96°, I 15, (2 1 3)
- 2θ = 43.02°, I 33, (2 0 -2)
- 2θ = 43.21°, I 32, (0 2 -2)
- 2θ = 43.74°, I 31, (2 2 4)
- 2θ = 62.31°, I 19, (2 -2 0)
- 2θ = 62.53°, I 10, (4 2 2)
- 2θ = 62.95°, I 10, (2 2 -4)

***

(2)
This entry pairs a crystal structure of Li2V3CoO8 with its theoretical powder XRD pattern. Radiation: copper Kα. Structure: DFT lattice parameters and positions (PBE+U).
Lines closer than 0.1° are merged.

Crystal structure
Unit cell a=5.8783 b=5.9608 c=8.2987 alpha=89.98 beta=88.69 gamma=89.27
Space group P1 (No. 1)
Inequivalent atoms, fractional coordinates:
Li (0.0000, 0.0000, 0.0000)
Li (0.0020, 0.4959, 0.2528)
Li (0.4958, 0.9958, 0.7525)
Li (0.5067, 0.4971, 0.4983)
V (0.0111, 0.7362, 0.6257)
V (0.2473, 0.4952, 0.8781)
V (0.5013, 0.2493, 0.1259)
V (0.5048, 0.7474, 0.1261)
V (0.7532, 0.9966, 0.3825)
V (0.9963, 0.2458, 0.6255)
Co (0.2487, 0.9965, 0.3742)
Co (0.7534, 0.4985, 0.8777)
O (0.0081, 0.7770, 0.3836)
O (0.2237, 0.9891, 0.6103)
O (0.2276, 0.5079, 0.6288)
O (0.2797, 0.0011, 0.1385)
O (0.2847, 0.4927, 0.1249)
O (0.4966, 0.2150, 0.3655)
O (0.4994, 0.7724, 0.3576)
O (0.5043, 0.7266, 0.8989)
O (0.5132, 0.2710, 0.8928)
O (0.7280, 0.9998, 0.1433)
O (0.7287, 0.4944, 0.1144)
O (0.7648, 0.9812, 0.6076)
O (0.7713, 0.5043, 0.6413)
O (0.9882, 0.7260, 0.8613)
O (0.9973, 0.2749, 0.8673)
O (0.9980, 0.2151, 0.3814)

The 12 most intense peaks (15° ≤ 2θ ≤ 90°), sorted by position:
- 2θ = 18.32°, I 100, (1 0 1)
- 2θ = 18.70°, I 20, (1 0 -1)
- 2θ = 35.38°, I 10, (1 2 -1)
- 2θ = 35.77°, I 25, (0 1 -3)
- 2θ = 36.17°, I 10, (-2 1 1)
- 2θ = 37.13°, I 8, (2 0 2)
- 2θ = 42.95°, I 23, (2 2 0)
- 2θ = 43.53°, I 22, (2 -2 0)
- 2θ = 43.64°, I 22, (0 0 4)
- 2θ = 62.31°, I 14, (0 4 0)
- 2θ = 62.77°, I 7, (2 -2 4)
- 2θ = 63.47°, I 7, (2 2 -4)

***

(3)
This entry pairs a crystal structure of Li2V2CoO6 with its theoretical powder XRD pattern. Radiation: copper Kα. Structure: DFT lattice parameters and positions (PBE+U).
Lines closer than 0.1° are merged.

Crystal structure
Unit cell a=8.9526 b=5.0735 c=10.3199 alpha=90.00 beta=90.00 gamma=90.00
Space group Cmce (No. 64)
Inequivalent atoms, fractional coordinates:
Li (0.2500, 0.0869, 0.2500)
V (0.1629, 0.0000, 0.0000)
Co (0.0000, 0.0000, 0.5000)
O (0.0000, 0.1619, 0.9055)
O (0.1835, 0.1732, 0.6072)

The 12 most intense peaks (15° ≤ 2θ ≤ 90°), sorted by position:
- 2θ = 17.18°, I 100, (0 0 2)
- 2θ = 35.38°, I 6, (0 2 0)
- 2θ = 35.98°, I 28, (3 1 1)
- 2θ = 39.13°, I 9, (3 1 2)
- 2θ = 39.59°, I 14, (0 2 2)
- 2θ = 43.95°, I 31, (3 1 3)
- 2θ = 50.45°, I 14, (0 2 4)
- 2θ = 57.23°, I 17, (3 1 5)
- 2θ = 63.91°, I 15, (3 3 1)
- 2θ = 65.07°, I 5, (6 0 2)
- 2θ = 65.58°, I 5, (0 2 6)
- 2θ = 74.13°, I 5, (3 1 7)

***

(4)
This entry pairs a crystal structure of Li2V3CoO8 with its theoretical powder XRD pattern. Radiation: copper Kα. Structure: DFT lattice parameters and positions (PBE+U).
Lines closer than 0.1° are merged.

Crystal structure
Unit cell a=12.1545 b=4.0024 c=6.5278 alpha=90.00 beta=106.79 gamma=90.00
Space group Cm (No. 8)
Inequivalent atoms, fractional coordinates:
Li (0.0000, 0.0000, 0.0000)
Li (0.1204, 0.0000, 0.7088)
V (0.1680, 0.5000, 0.0483)
V (0.2690, 0.5000, 0.6341)
V (0.4489, 0.0000, 0.6238)
Co (0.3496, 0.0000, 0.0445)
O (0.0122, 0.5000, 0.9932)
O (0.1200, 0.5000, 0.7057)
O (0.1717, 0.0000, 0.0298)
O (0.2155, 0.5000, 0.3573)
O (0.2939, 0.0000, 0.6842)
O (0.3187, 0.5000, 0.9828)
O (0.4154, 0.0000, 0.3557)
O (0.4391, 0.5000, 0.6751)

The 12 most intense peaks (15° ≤ 2θ ≤ 90°), sorted by position:
- 2θ = 15.23°, I 70, (2 0 0)
- 2θ = 23.51°, I 100, (1 1 0)
- 2θ = 28.57°, I 76, (0 0 2)
- 2θ = 29.90°, I 36, (4 0 -1)
- 2θ = 32.14°, I 40, (3 1 0)
- 2θ = 32.36°, I 41, (3 1 -1)
- 2θ = 43.44°, I 47, (0 0 3)
- 2θ = 44.75°, I 59, (6 0 -1)
- 2θ = 45.32°, I 64, (0 2 0)
- 2θ = 54.45°, I 22, (0 2 2)
- 2θ = 64.58°, I 23, (0 2 3)
- 2θ = 65.58°, I 31, (6 2 -1)

***

(5)
This entry pairs a crystal structure of Li2V3CoO8 with its theoretical powder XRD pattern. Radiation: copper Kα. Structure: DFT lattice parameters and positions (PBE+U).
Lines closer than 0.1° are merged.

Crystal structure
Unit cell a=8.2538 b=8.2538 c=8.2538 alpha=90.00 beta=90.00 gamma=90.00
Space group P4_332 (No. 212)
Inequivalent atoms, fractional coordinates:
Li (0.0033, 0.0033, 0.0033)
V (0.1252, 0.1248, 0.6250)
Co (0.1250, 0.8750, 0.3750)
O (0.1096, 0.1135, 0.3869)
O (0.1148, 0.6148, 0.8852)

The 12 most intense peaks (15° ≤ 2θ ≤ 90°), sorted by position:
- 2θ = 18.62°, I 100, (1 1 1)
- 2θ = 36.09°, I 47, (3 1 1)
- 2θ = 37.76°, I 9, (2 2 2)
- 2θ = 43.88°, I 57, (4 0 0)
- 2θ = 48.05°, I 10, (3 3 1)
- 2θ = 58.07°, I 20, (5 1 1)
- 2θ = 63.79°, I 34, (4 4 0)
- 2θ = 67.09°, I 13, (5 3 1)
- 2θ = 75.54°, I 5, (5 3 3)
- 2θ = 76.57°, I 5, (6 2 2)
- 2θ = 80.65°, I 9, (4 4 4)
- 2θ = 83.68°, I 7, (5 5 1)

***

(6)
This entry pairs a crystal structure of Li2V5CoO12 with its theoretical powder XRD pattern. Radiation: copper Kα. Structure: DFT lattice parameters and positions (PBE+U).
Lines closer than 0.1° are merged.

Crystal structure
Unit cell a=10.5970 b=8.8955 c=5.7005 alpha=90.00 beta=112.01 gamma=90.00
Space group C2 (No. 5)
Inequivalent atoms, fractional coordinates:
Li (0.0000, 0.0000, 0.0000)
Li (0.0000, 0.4737, 0.5000)
V (0.0000, 0.6494, 0.0000)
V (0.2089, 0.1332, 0.4922)
V (0.2144, 0.3326, 0.0081)
Co (0.0000, 0.8176, 0.5000)
O (0.0978, 0.8236, 0.8982)
O (0.1121, 0.6392, 0.4002)
O (0.1203, 0.5037, 0.9299)
O (0.1397, 0.1846, 0.1695)
O (0.1477, 0.2500, 0.6722)
O (0.1575, 0.9512, 0.5067)

The 12 most intense peaks (15° ≤ 2θ ≤ 90°), sorted by position:
- 2θ = 18.69°, I 20, (1 1 -1)
- 2θ = 19.96°, I 22, (0 2 0)
- 2θ = 24.08°, I 13, (1 1 1)
- 2θ = 26.19°, I 15, (0 2 1)
- 2θ = 28.06°, I 100, (2 2 -1)
- 2θ = 29.05°, I 51, (3 1 0)
- 2θ = 33.92°, I 40, (0 0 2)
- 2θ = 35.53°, I 21, (2 2 1)
- 2θ = 39.81°, I 11, (1 1 2)
- 2θ = 45.40°, I 17, (2 4 -1)
- 2θ = 52.37°, I 16, (2 2 -3)
- 2θ = 53.10°, I 30, (5 3 -1)

***

(7)
This entry pairs a crystal structure of Li3V3CoO8 with its theoretical powder XRD pattern. Radiation: copper Kα. Structure: DFT lattice parameters and positions (PBE+U).
Lines closer than 0.1° are merged.

Crystal structure
Unit cell a=5.8172 b=5.8520 c=5.9359 alpha=119.51 beta=90.32 gamma=119.18
Space group P-1 (No. 2)
Inequivalent atoms, fractional coordinates:
Li (0.0000, 0.0000, 0.0000)
Li (0.0000, 0.5000, 0.0000)
Li (0.5000, 0.0000, 0.0000)
V (0.0000, 0.0000, 0.5000)
V (0.5000, 0.0000, 0.5000)
V (0.5000, 0.5000, 0.5000)
Co (0.0000, 0.5000, 0.5000)
O (0.2347, 0.9601, 0.7133)
O (0.2365, 0.4823, 0.7162)
O (0.2511, 0.5032, 0.2835)
O (0.2624, 0.0222, 0.2703)

The 12 most intense peaks (15° ≤ 2θ ≤ 90°), sorted by position:
- 2θ = 18.15°, I 100, (0 0 1)
- 2θ = 35.63°, I 12, (0 2 -1)
- 2θ = 35.92°, I 12, (2 0 -1)
- 2θ = 36.25°, I 12, (2 -2 1)
- 2θ = 42.99°, I 24, (0 2 0)
- 2θ = 43.44°, I 23, (2 0 -2)
- 2θ = 43.71°, I 22, (2 -2 2)
- 2θ = 62.34°, I 6, (2 0 2)
- 2θ = 62.60°, I 12, (-2 2 2)
- 2θ = 62.95°, I 6, (2 2 -2)
- 2θ = 63.61°, I 6, (2 -4 2)
- 2θ = 64.03°, I 6, (4 -2 0)

***

(8)
This entry pairs a crystal structure of Li2V3CoO8 with its theoretical powder XRD pattern. Radiation: copper Kα. Structure: DFT lattice parameters and positions (PBE+U).
Lines closer than 0.1° are merged.

Crystal structure
Unit cell a=9.9474 b=5.9850 c=5.9573 alpha=90.00 beta=125.23 gamma=90.00
Space group C2/m (No. 12)
Inequivalent atoms, fractional coordinates:
Li (0.1247, 0.0000, 0.3735)
V (0.0000, 0.5000, 0.5000)
V (0.2500, 0.2500, 0.0000)
Co (0.0000, 0.5000, 0.0000)
O (0.0150, 0.2762, 0.7749)
O (0.2412, 0.5000, 0.2146)
O (0.2453, 0.5000, 0.7742)

The 12 most intense peaks (15° ≤ 2θ ≤ 90°), sorted by position:
- 2θ = 18.23°, I 60, (0 0 1)
- 2θ = 18.41°, I 100, (1 1 0)
- 2θ = 18.71°, I 32, (2 0 -1)
- 2θ = 35.19°, I 27, (1 1 -2)
- 2θ = 35.47°, I 16, (2 2 -1)
- 2θ = 35.70°, I 16, (3 1 -2)
- 2θ = 36.41°, I 17, (3 1 0)
- 2θ = 42.84°, I 75, (2 2 -2)
- 2θ = 44.61°, I 33, (4 0 0)
- 2θ = 56.51°, I 15, (2 2 -3)
- 2θ = 62.89°, I 21, (2 2 2)
- 2θ = 64.24°, I 20, (6 2 -2)